[1]
Starting from a crystal structure in Alexandria, relaxed with PBE, the powder diffractogram of CsTaReN4 was simulated for Cu Kα (λ = 1.5418 Å).
Intensities are scaled so that the largest is 1000.

```
data_CsTaReN4
_cell_length_a 5.750
_cell_length_b 5.882
_cell_length_c 7.733
_cell_angle_alpha 90.00
_cell_angle_beta 93.08
_cell_angle_gamma 90.00
_symmetry_space_group_name_H-M 'P 1 21/m 1'
_symmetry_Int_Tables_number 11
loop_
_symmetry_equiv_pos_as_xyz
'x,y,z'
'-x,-y,-z'
'-x,y+1/2,-z'
'x,-y+1/2,z'
loop_
_atom_site_label
_atom_site_type_symbol
_atom_site_fract_x
_atom_site_fract_y
_atom_site_fract_z
Cs1 Cs 0.203 0.250 0.086
Ta1 Ta 0.137 0.750 0.468
Re1 Re 0.384 0.250 0.623
N1 N 0.135 0.026 0.635
N2 N 0.330 0.750 0.250
N3 N 0.492 0.250 0.415
```

Peak list (10 most intense, 2θ from 10° to 90°, low angle first)
| Position (°2θ) | I (rel.) | h k l |
| --- | --- | --- |
| 11.5 | 1000 | 0 0 1 |
| 23.0 | 187 | 0 0 2 |
| 24.9 | 375 | 1 1 1 |
| 27.1 | 272 | 1 0 -2 |
| 27.6 | 663 | 0 1 2 |
| 30.4 | 486 | 0 2 0 |
| 34.8 | 208 | 2 1 0 |
| 36.2 | 429 | 2 1 -1 |
| 37.3 | 225 | 2 1 1 |
| 46.1 | 188 | 2 0 -3 |

=====

[2]
Starting from a crystal structure in Alexandria, relaxed with PBE, the powder diffractogram of Cs2TmRe2N6 was simulated for Cu Kα (λ = 1.5418 Å).
Intensities are scaled so that the largest is 1000.

```
data_Cs2TmRe2N6
_cell_length_a 6.4180
_cell_length_b 6.4180
_cell_length_c 18.8434
_cell_angle_alpha 90.00
_cell_angle_beta 90.00
_cell_angle_gamma 120.00
_symmetry_space_group_name_H-M 'R -3 m'
_symmetry_Int_Tables_number 166
_symmetry_space_group_name_Hall '-R 3 2"'
loop_
_atom_site_label
_atom_site_type_symbol
_atom_site_fract_x
_atom_site_fract_y
_atom_site_fract_z
Cs1 Cs 0.0000 0.0000 0.2221
Tm1 Tm 0.0000 0.0000 0.0000
Re1 Re 0.0000 0.0000 0.4271
N1 N 0.0213 0.5107 0.2639
```

Peak list (10 most intense, 2θ from 10° to 90°, low angle first)
| Position (°2θ) | I (rel.) | h k l |
| --- | --- | --- |
| 18.5 | 137 | 0 1 2 |
| 24.8 | 132 | 1 0 4 |
| 27.8 | 1000 | 1 1 0 |
| 28.6 | 625 | 0 1 5 |
| 40.3 | 210 | 2 0 5 |
| 49.2 | 212 | 3 0 0 |
| 49.7 | 256 | 1 2 5 |
| 52.2 | 250 | 1 1 9 |
| 57.4 | 164 | 2 2 0 |
| 67.5 | 118 | 0 3 9 |

=====

[3]
Starting from a crystal structure in Alexandria, relaxed with PBE, the powder diffractogram of CsRuN was simulated for Cu Kα (λ = 1.5418 Å).
Intensities are scaled so that the largest is 1000.

```
data_CsRuN
_cell_length_a 3.749
_cell_length_b 3.749
_cell_length_c 11.335
_cell_angle_alpha 90.00
_cell_angle_beta 90.00
_cell_angle_gamma 90.00
_symmetry_space_group_name_H-M 'P 4/n m m'
_symmetry_Int_Tables_number 129
loop_
_symmetry_equiv_pos_as_xyz
'x,y,z'
'-x,-y,-z'
'-y+1/2,x,z'
'y+1/2,-x,-z'
'-x+1/2,-y+1/2,z'
'x+1/2,y+1/2,-z'
'y,-x+1/2,z'
'-y,x+1/2,-z'
'x+1/2,-y,-z'
'-x+1/2,y,z'
'-y,-x,-z'
'y,x,z'
'-x,y+1/2,-z'
'x,-y+1/2,z'
'y+1/2,x+1/2,-z'
'-y+1/2,-x+1/2,z'
loop_
_atom_site_label
_atom_site_type_symbol
_atom_site_fract_x
_atom_site_fract_y
_atom_site_fract_z
Cs1 Cs 0.250 0.250 0.236
Ru1 Ru 0.250 0.750 0.500
N1 N 0.250 0.250 0.586
```

Peak list (10 most intense, 2θ from 10° to 90°, low angle first)
| Position (°2θ) | I (rel.) | h k l |
| --- | --- | --- |
| 23.5 | 311 | 0 0 3 |
| 25.0 | 855 | 1 0 1 |
| 31.6 | 376 | 0 0 4 |
| 33.7 | 515 | 1 0 3 |
| 34.8 | 258 | 1 1 1 |
| 37.5 | 1000 | 1 1 2 |
| 48.6 | 279 | 2 0 0 |
| 59.1 | 249 | 2 0 4 |
| 60.1 | 251 | 1 1 6 |
| 83.3 | 201 | 3 1 2 |

=====

[4]
Starting from a crystal structure in Alexandria, relaxed with PBE, the powder diffractogram of CsS2N4 was simulated for Cu Kα (λ = 1.5418 Å).
Intensities are scaled so that the largest is 1000.

```
data_CsS2N4
_cell_length_a 4.452
_cell_length_b 6.527
_cell_length_c 7.989
_cell_angle_alpha 109.53
_cell_angle_beta 99.88
_cell_angle_gamma 105.29
_symmetry_space_group_name_H-M 'P -1'
_symmetry_Int_Tables_number 2
loop_
_symmetry_equiv_pos_as_xyz
'x,y,z'
'-x,-y,-z'
loop_
_atom_site_label
_atom_site_type_symbol
_atom_site_fract_x
_atom_site_fract_y
_atom_site_fract_z
Cs1 Cs 0.000 0.000 0.000
S1 S 0.312 0.564 0.000
N1 N 0.012 0.428 0.442
N2 N 0.430 0.014 0.442
```

Peak list (10 most intense, 2θ from 10° to 90°, low angle first)
| Position (°2θ) | I (rel.) | h k l |
| --- | --- | --- |
| 12.3 | 1000 | 0 0 1 |
| 15.4 | 251 | 0 1 0 |
| 21.6 | 302 | 1 0 -1 |
| 24.7 | 582 | 0 0 2 |
| 25.1 | 590 | 1 -1 1 |
| 28.1 | 393 | 1 1 -1 |
| 31.0 | 535 | 0 2 -2 |
| 31.1 | 239 | 1 -2 1 |
| 35.8 | 225 | -1 2 1 |
| 37.7 | 293 | 1 1 1 |

=====

[5]
Starting from a crystal structure in Alexandria, relaxed with PBE, the powder diffractogram of CsSb3N was simulated for Cu Kα (λ = 1.5418 Å).
Intensities are scaled so that the largest is 1000.

```
data_CsSb3N
_cell_length_a 5.076
_cell_length_b 5.076
_cell_length_c 5.076
_cell_angle_alpha 90.00
_cell_angle_beta 90.00
_cell_angle_gamma 90.00
_symmetry_space_group_name_H-M 'P m -3 m'
_symmetry_Int_Tables_number 221
_symmetry_space_group_name_Hall '-P 4 2 3'
loop_
_atom_site_label
_atom_site_type_symbol
_atom_site_fract_x
_atom_site_fract_y
_atom_site_fract_z
Cs1 Cs 0.000 0.000 0.000
Sb1 Sb 0.000 0.500 0.500
N1 N 0.500 0.500 0.500
```

Peak list (9 most intense, 2θ from 10° to 90°, low angle first)
| Position (°2θ) | I (rel.) | h k l |
| --- | --- | --- |
| 24.8 | 6 | 1 1 0 |
| 30.5 | 1000 | 1 1 1 |
| 35.4 | 564 | 2 0 0 |
| 50.9 | 390 | 2 2 0 |
| 60.5 | 421 | 3 1 1 |
| 63.5 | 132 | 2 2 2 |
| 74.8 | 61 | 4 0 0 |
| 82.9 | 175 | 3 3 1 |
| 85.6 | 176 | 4 2 0 |

=====

[6]
Starting from a crystal structure in Alexandria, relaxed with PBE, the powder diffractogram of CsSbTe2N was simulated for Cu Kα (λ = 1.5418 Å).
Intensities are scaled so that the largest is 1000.

```
data_CsSbTe2N
_cell_length_a 6.539
_cell_length_b 6.539
_cell_length_c 3.913
_cell_angle_alpha 90.00
_cell_angle_beta 90.00
_cell_angle_gamma 90.00
_symmetry_space_group_name_H-M 'P 4/m m m'
_symmetry_Int_Tables_number 123
_symmetry_space_group_name_Hall '-P 4 2'
loop_
_atom_site_label
_atom_site_type_symbol
_atom_site_fract_x
_atom_site_fract_y
_atom_site_fract_z
Cs1 Cs 0.000 0.000 0.000
Sb1 Sb 0.500 0.500 0.500
Te1 Te 0.000 0.500 0.500
N1 N 0.500 0.500 0.000
```

Peak list (10 most intense, 2θ from 10° to 90°, low angle first)
| Position (°2θ) | I (rel.) | h k l |
| --- | --- | --- |
| 26.5 | 453 | 1 0 1 |
| 27.3 | 1000 | 2 0 0 |
| 29.9 | 438 | 1 1 1 |
| 35.8 | 188 | 2 0 1 |
| 38.4 | 341 | 2 1 1 |
| 39.0 | 380 | 2 2 0 |
| 49.9 | 204 | 3 1 1 |
| 54.7 | 279 | 2 0 2 |
| 62.2 | 188 | 2 2 2 |
| 63.6 | 175 | 4 2 0 |

=====

[7]
Starting from a crystal structure in Alexandria, relaxed with PBE, the powder diffractogram of CsSmN was simulated for Cu Kα (λ = 1.5418 Å).
Intensities are scaled so that the largest is 1000.

```
data_CsSmN
_cell_length_a 7.231
_cell_length_b 4.164
_cell_length_c 15.192
_cell_angle_alpha 90.00
_cell_angle_beta 97.10
_cell_angle_gamma 90.00
_symmetry_space_group_name_H-M 'C 1 2/m 1'
_symmetry_Int_Tables_number 12
loop_
_symmetry_equiv_pos_as_xyz
'x,y,z'
'-x,-y,-z'
'-x,y,-z'
'x,-y,z'
'x+1/2,y+1/2,z'
'-x+1/2,-y+1/2,-z'
'-x+1/2,y+1/2,-z'
'x+1/2,-y+1/2,z'
loop_
_atom_site_label
_atom_site_type_symbol
_atom_site_fract_x
_atom_site_fract_y
_atom_site_fract_z
Cs1 Cs 0.094 0.000 0.348
Sm1 Sm 0.145 0.500 0.919
N1 N 0.185 0.500 0.070
```

Peak list (10 most intense, 2θ from 10° to 90°, low angle first)
| Position (°2θ) | I (rel.) | h k l |
| --- | --- | --- |
| 17.6 | 337 | 0 0 3 |
| 23.6 | 275 | 0 0 4 |
| 25.8 | 1000 | 1 1 1 |
| 26.2 | 606 | 2 0 -2 |
| 28.9 | 195 | 2 0 2 |
| 29.6 | 634 | 1 1 -3 |
| 35.5 | 207 | 1 1 4 |
| 42.6 | 201 | 1 1 -6 |
| 43.4 | 444 | 0 2 0 |
| 51.4 | 186 | 2 2 -2 |

=====

[8]
Starting from a crystal structure in Alexandria, relaxed with PBE, the powder diffractogram of CsSnN3 was simulated for Cu Kα (λ = 1.5418 Å).
Intensities are scaled so that the largest is 1000.

```
data_CsSnN3
_cell_length_a 4.343
_cell_length_b 4.343
_cell_length_c 4.343
_cell_angle_alpha 90.00
_cell_angle_beta 90.00
_cell_angle_gamma 90.00
_symmetry_space_group_name_H-M 'P m -3 m'
_symmetry_Int_Tables_number 221
_symmetry_space_group_name_Hall '-P 4 2 3'
loop_
_atom_site_label
_atom_site_type_symbol
_atom_site_fract_x
_atom_site_fract_y
_atom_site_fract_z
Cs1 Cs 0.000 0.000 0.000
Sn1 Sn 0.500 0.500 0.500
N1 N 0.000 0.500 0.500
```

Peak list (8 most intense, 2θ from 10° to 90°, low angle first)
| Position (°2θ) | I (rel.) | h k l |
| --- | --- | --- |
| 29.1 | 1000 | 1 1 0 |
| 35.8 | 16 | 1 1 1 |
| 41.6 | 283 | 2 0 0 |
| 51.5 | 420 | 2 1 1 |
| 60.3 | 183 | 2 2 0 |
| 68.3 | 187 | 3 1 0 |
| 75.9 | 62 | 2 2 2 |
| 83.2 | 227 | 3 2 1 |

=====

[9]
Starting from a crystal structure in Alexandria, relaxed with PBE, the powder diffractogram of Cs3SnN8 was simulated for Cu Kα (λ = 1.5418 Å).
Intensities are scaled so that the largest is 1000.

```
data_Cs3SnN8
_cell_length_a 8.128
_cell_length_b 8.128
_cell_length_c 9.988
_cell_angle_alpha 90.00
_cell_angle_beta 90.00
_cell_angle_gamma 90.00
_symmetry_space_group_name_H-M 'I 4/m m m'
_symmetry_Int_Tables_number 139
_symmetry_space_group_name_Hall '-I 4 2'
loop_
_atom_site_label
_atom_site_type_symbol
_atom_site_fract_x
_atom_site_fract_y
_atom_site_fract_z
Cs1 Cs 0.000 0.000 0.000
Cs2 Cs 0.000 0.500 0.250
Sn1 Sn 0.000 0.000 0.500
N1 N 0.229 0.229 0.441
```

Peak list (10 most intense, 2θ from 10° to 90°, low angle first)
| Position (°2θ) | I (rel.) | h k l |
| --- | --- | --- |
| 21.9 | 351 | 2 0 0 |
| 23.6 | 1000 | 1 1 2 |
| 31.1 | 358 | 2 2 0 |
| 39.4 | 506 | 3 1 2 |
| 42.5 | 201 | 2 0 4 |
| 44.6 | 123 | 4 0 0 |
| 48.3 | 149 | 2 2 4 |
| 51.1 | 126 | 3 3 2 |
| 61.0 | 146 | 5 1 2 |
| 63.3 | 126 | 4 2 4 |

=====

[10]
Starting from a crystal structure in Alexandria, relaxed with PBE, the powder diffractogram of CsThTcN4 was simulated for Cu Kα (λ = 1.5418 Å).
Intensities are scaled so that the largest is 1000.

```
data_CsThTcN4
_cell_length_a 6.246
_cell_length_b 6.048
_cell_length_c 8.388
_cell_angle_alpha 90.00
_cell_angle_beta 105.21
_cell_angle_gamma 90.00
_symmetry_space_group_name_H-M 'P 1 21/m 1'
_symmetry_Int_Tables_number 11
loop_
_symmetry_equiv_pos_as_xyz
'x,y,z'
'-x,-y,-z'
'-x,y+1/2,-z'
'x,-y+1/2,z'
loop_
_atom_site_label
_atom_site_type_symbol
_atom_site_fract_x
_atom_site_fract_y
_atom_site_fract_z
Cs1 Cs 0.222 0.250 0.424
Th1 Th 0.286 0.250 0.944
Tc1 Tc 0.242 0.750 0.142
N1 N 0.046 0.750 0.945
N2 N 0.060 0.750 0.278
N3 N 0.437 0.516 0.155
```

Peak list (10 most intense, 2θ from 10° to 90°, low angle first)
| Position (°2θ) | I (rel.) | h k l |
| --- | --- | --- |
| 10.9 | 1000 | 0 0 1 |
| 20.8 | 739 | 1 1 0 |
| 22.0 | 266 | 0 0 2 |
| 26.5 | 884 | 0 1 2 |
| 27.4 | 405 | 1 1 -2 |
| 29.5 | 608 | 0 2 0 |
| 29.6 | 465 | 2 0 0 |
| 33.2 | 390 | 1 1 2 |
| 35.4 | 528 | 2 1 -2 |
| 42.3 | 426 | 2 2 0 |

=====

[11]
Starting from a crystal structure in Alexandria, relaxed with PBE, the powder diffractogram of Cs3TiN was simulated for Cu Kα (λ = 1.5418 Å).
Intensities are scaled so that the largest is 1000.

```
data_Cs3TiN
_cell_length_a 6.158
_cell_length_b 6.158
_cell_length_c 6.158
_cell_angle_alpha 90.00
_cell_angle_beta 90.00
_cell_angle_gamma 90.00
_symmetry_space_group_name_H-M 'P m -3 m'
_symmetry_Int_Tables_number 221
_symmetry_space_group_name_Hall '-P 4 2 3'
loop_
_atom_site_label
_atom_site_type_symbol
_atom_site_fract_x
_atom_site_fract_y
_atom_site_fract_z
Cs1 Cs 0.000 0.000 0.500
Ti1 Ti 0.000 0.000 0.000
N1 N 0.500 0.500 0.500
```

Peak list (10 most intense, 2θ from 10° to 90°, low angle first)
| Position (°2θ) | I (rel.) | h k l |
| --- | --- | --- |
| 14.4 | 584 | 1 0 0 |
| 25.0 | 1000 | 1 1 1 |
| 29.0 | 832 | 2 0 0 |
| 32.5 | 322 | 2 1 0 |
| 41.5 | 611 | 2 2 0 |
| 49.1 | 468 | 3 1 1 |
| 51.4 | 214 | 2 2 2 |
| 66.1 | 193 | 3 3 1 |
| 68.1 | 274 | 4 2 0 |
| 75.7 | 203 | 4 2 2 |

=====

[12]
Starting from a crystal structure in Alexandria, relaxed with PBE, the powder diffractogram of CsU4TlN8 was simulated for Cu Kα (λ = 1.5418 Å).
Intensities are scaled so that the largest is 1000.

```
data_CsU4TlN8
_cell_length_a 7.0102
_cell_length_b 7.0102
_cell_length_c 22.7000
_cell_angle_alpha 90.00
_cell_angle_beta 90.00
_cell_angle_gamma 120.00
_symmetry_space_group_name_H-M 'R 3 m'
_symmetry_Int_Tables_number 160
_symmetry_space_group_name_Hall 'R 3 -2"'
loop_
_atom_site_label
_atom_site_type_symbol
_atom_site_fract_x
_atom_site_fract_y
_atom_site_fract_z
Cs1 Cs 0.0000 0.0000 0.0000
U1 U 0.0000 0.0000 0.1686
U2 U 0.0006 0.5003 0.1538
Tl1 Tl 0.0000 0.0000 0.6169
N1 N 0.0000 0.0000 0.4486
N2 N 0.0000 0.0000 0.8601
N3 N 0.1744 0.3488 0.7867
N4 N 0.1756 0.3512 0.2018
```

Peak list (10 most intense, 2θ from 10° to 90°, low angle first)
| Position (°2θ) | I (rel.) | h k l |
| --- | --- | --- |
| 11.7 | 1000 | 0 0 3 |
| 23.5 | 416 | 0 0 6 |
| 29.7 | 381 | 0 2 1 |
| 30.5 | 566 | 2 0 2 |
| 33.5 | 456 | 0 2 4 |
| 35.6 | 368 | 2 0 5 |
| 40.7 | 362 | 0 2 7 |
| 52.2 | 249 | 2 2 0 |
| 53.7 | 270 | 2 0 11 |
| 58.0 | 222 | 2 2 6 |

=====

[13]
Starting from a crystal structure in Alexandria, relaxed with PBE, the powder diffractogram of CsYWN3 was simulated for Cu Kα (λ = 1.5418 Å).
Intensities are scaled so that the largest is 1000.

```
data_CsYWN3
_cell_length_a 13.589
_cell_length_b 3.964
_cell_length_c 8.579
_cell_angle_alpha 90.00
_cell_angle_beta 103.74
_cell_angle_gamma 90.00
_symmetry_space_group_name_H-M 'C 1 2/m 1'
_symmetry_Int_Tables_number 12
loop_
_symmetry_equiv_pos_as_xyz
'x,y,z'
'-x,-y,-z'
'-x,y,-z'
'x,-y,z'
'x+1/2,y+1/2,z'
'-x+1/2,-y+1/2,-z'
'-x+1/2,y+1/2,-z'
'x+1/2,-y+1/2,z'
loop_
_atom_site_label
_atom_site_type_symbol
_atom_site_fract_x
_atom_site_fract_y
_atom_site_fract_z
Cs1 Cs 0.143 0.000 0.067
Y1 Y 0.162 0.000 0.575
W1 W 0.008 0.500 0.344
N1 N 0.014 0.000 0.336
N2 N 0.134 0.500 0.747
N3 N 0.162 0.500 0.383
```

Peak list (10 most intense, 2θ from 10° to 90°, low angle first)
| Position (°2θ) | I (rel.) | h k l |
| --- | --- | --- |
| 10.6 | 248 | 0 0 1 |
| 13.4 | 268 | 2 0 0 |
| 25.1 | 171 | 1 1 -1 |
| 26.5 | 142 | 1 1 1 |
| 27.9 | 226 | 2 0 2 |
| 30.3 | 1000 | 3 1 0 |
| 30.8 | 560 | 1 1 -2 |
| 31.8 | 168 | 2 0 -3 |
| 41.0 | 241 | 6 0 0 |
| 45.8 | 186 | 0 2 0 |

=====

[14]
Starting from a crystal structure in Alexandria, relaxed with PBE, the powder diffractogram of Cs7Na4 was simulated for Cu Kα (λ = 1.5418 Å).
Intensities are scaled so that the largest is 1000.

```
data_Cs7Na4
_cell_length_a 12.1712
_cell_length_b 12.1712
_cell_length_c 7.2949
_cell_angle_alpha 90.00
_cell_angle_beta 90.00
_cell_angle_gamma 120.00
_symmetry_space_group_name_H-M 'P -6 m 2'
_symmetry_Int_Tables_number 187
_symmetry_space_group_name_Hall 'P -6 2'
loop_
_atom_site_label
_atom_site_type_symbol
_atom_site_fract_x
_atom_site_fract_y
_atom_site_fract_z
Cs1 Cs 0.0000 0.0000 0.0000
Cs2 Cs 0.1855 0.3711 0.5000
Cs3 Cs 0.5318 0.0637 0.0000
Na1 Na 0.3333 0.6667 0.0000
Na2 Na 0.4642 0.2321 0.5000
```

Peak list (10 most intense, 2θ from 10° to 90°, low angle first)
| Position (°2θ) | I (rel.) | h k l |
| --- | --- | --- |
| 14.8 | 135 | 1 0 1 |
| 16.8 | 208 | 2 0 0 |
| 20.8 | 1000 | 2 0 1 |
| 22.3 | 172 | 2 1 0 |
| 24.4 | 217 | 0 0 2 |
| 25.5 | 130 | 2 1 1 |
| 29.4 | 191 | 2 2 0 |
| 38.5 | 181 | 2 2 2 |
| 39.2 | 205 | 3 2 1 |
| 40.9 | 169 | 2 0 3 |